[1]
Al2Hg2Ge3: theoretical powder diffractogram (Cu Kα), based on a structure optimized by DFT (GGA-PBE).
No peak broadening, texture or thermal motion is included.

Main lines, low angle first (10° ≤ 2θ ≤ 90°):
Position (°2θ)	d [Å]	I/Imax
24.6	3.622	41
27.0	3.297	18
28.8	3.104	71
32.9	2.718	100
41.7	2.167	73
52.4	1.745	18
54.1	1.695	25
58.5	1.577	19
70.6	1.335	22
76.1	1.251	16

Cell and atoms:
Cell lengths 9.5336, 9.5336, 9.5336 Å; angles 26.28, 26.28, 26.28 degrees
Positions (direct):
Al 0.0000 0.0000 0.0000
Al 0.4653 0.4653 0.4653
Hg 0.1813 0.1813 0.1813
Hg 0.7548 0.7548 0.7548
Ge 0.3599 0.3599 0.3599
Ge 0.6105 0.6105 0.6105
Ge 0.9026 0.9026 0.9026

[2]
NdHo2Al3Ge2Pt: theoretical powder diffractogram (Cu Kα), based on a structure optimized by DFT (GGA-PBE).
No peak broadening, texture or thermal motion is included.

Main lines, low angle first (10° ≤ 2θ ≤ 90°):
Position (°2θ)	d [Å]	I/Imax
20.8	4.264	34
25.3	3.523	28
29.3	3.051	38
33.0	2.716	50
36.2	2.481	100
39.1	2.306	17
42.4	2.132	24
44.5	2.034	21
44.7	2.028	27
58.7	1.573	21

Cell and atoms:
Cell lengths 4.2637, 7.0440, 7.0440 Å; angles 119.93, 90.00, 90.00 degrees
Positions (direct):
Nd 0.0000 0.0000 0.0000
Ho 0.0000 0.4153 0.8291
Ho 0.0000 0.8291 0.4153
Al 0.5000 0.1864 0.4198
Al 0.5000 0.4198 0.1864
Al 0.5000 0.6458 0.6458
Ge 0.5000 0.0859 0.7425
Ge 0.5000 0.7425 0.0859
Pt 0.0000 0.4266 0.4266

[3]
Ho3Al3SiNiGe: theoretical powder diffractogram (Cu Kα), based on a structure optimized by DFT (GGA-PBE).
No peak broadening, texture or thermal motion is included.

Main lines, low angle first (10° ≤ 2θ ≤ 90°):
Position (°2θ)	d [Å]	I/Imax
21.5	4.140	36
25.9	3.439	42
30.0	2.978	28
33.9	2.645	100
37.2	2.418	75
40.1	2.251	27
43.7	2.070	23
55.6	1.652	20
60.3	1.534	32
73.3	1.291	18

Cell and atoms:
Cell lengths 6.8774, 6.8774, 4.1405 Å; angles 90.00, 90.00, 120.00 degrees
Positions (direct):
Ho 0.0746 0.3357 0.0000
Ho 0.2611 0.9254 0.0000
Ho 0.6643 0.7389 0.0000
Al 0.4378 0.3359 0.5000
Al 0.6641 0.1019 0.5000
Al 0.8981 0.5622 0.5000
Si 0.3333 0.6667 0.5000
Ni 0.6667 0.3333 0.0000
Ge 0.0000 0.0000 0.5000

[4]
Ho4AlGe4Pd2: theoretical powder diffractogram (Cu Kα), based on a structure optimized by DFT (GGA-PBE).
No peak broadening, texture or thermal motion is included.

Main lines, low angle first (10° ≤ 2θ ≤ 90°):
Position (°2θ)	d [Å]	I/Imax
21.7	4.097	9
33.0	2.715	27
33.1	2.705	18
34.6	2.593	41
35.9	2.498	100
36.8	2.443	18
38.1	2.361	10
40.4	2.234	18
42.4	2.131	44
73.4	1.290	13

Cell and atoms:
Cell lengths 8.0957, 8.0957, 7.0245 Å; angles 106.69, 106.69, 30.51 degrees
Positions (direct):
Ho 0.0857 0.0857 0.3776
Ho 0.1547 0.1547 0.9235
Ho 0.8453 0.8453 0.0765
Ho 0.9143 0.9143 0.6224
Al 0.5000 0.5000 0.0000
Ge 0.3129 0.3129 0.7676
Ge 0.4397 0.4397 0.3329
Ge 0.5603 0.5603 0.6671
Ge 0.6871 0.6871 0.2324
Pd 0.2808 0.2808 0.3679
Pd 0.7192 0.7192 0.6321

[5]
TbHoAl3Ge2: theoretical powder diffractogram (Cu Kα), based on a structure optimized by DFT (GGA-PBE).
No peak broadening, texture or thermal motion is included.

Main lines, low angle first (10° ≤ 2θ ≤ 90°):
Position (°2θ)	d [Å]	I/Imax
13.3	6.649	55
26.3	3.383	35
27.9	3.199	56
34.8	2.581	100
35.3	2.540	56
35.5	2.531	34
38.9	2.318	49
40.7	2.216	27
44.4	2.038	35
47.2	1.926	30

Cell and atoms:
Cell lengths 5.5300, 5.5300, 6.7522 Å; angles 99.33, 99.33, 43.26 degrees
Positions (direct):
Tb 0.0000 0.0000 0.0000
Ho 0.7670 0.7670 0.3670
Al 0.0810 0.0810 0.5585
Al 0.3829 0.3829 0.6825
Al 0.6862 0.6862 0.8068
Ge 0.2838 0.2838 0.0425
Ge 0.4832 0.4832 0.3258

[6]
HoTmAl3Ge2: theoretical powder diffractogram (Cu Kα), based on a structure optimized by DFT (GGA-PBE).
No peak broadening, texture or thermal motion is included.

Main lines, low angle first (10° ≤ 2θ ≤ 90°):
Position (°2θ)	d [Å]	I/Imax
13.4	6.623	57
24.0	3.714	27
26.5	3.362	36
28.0	3.185	59
35.0	2.566	100
35.7	2.517	92
39.0	2.307	51
40.9	2.208	28
44.7	2.027	36
47.4	1.919	31

Cell and atoms:
Cell lengths 5.4872, 5.4872, 6.7187 Å; angles 98.99, 98.99, 43.36 degrees
Positions (direct):
Ho 0.0000 0.0000 0.0000
Tm 0.2318 0.2318 0.6326
Al 0.3134 0.3134 0.1933
Al 0.6164 0.6164 0.3172
Al 0.9181 0.9181 0.4406
Ge 0.5153 0.5153 0.6749
Ge 0.7164 0.7164 0.9562

[7]
Li2Sc2AlGeIr2: theoretical powder diffractogram (Cu Kα), based on a structure optimized by DFT (GGA-PBE).
No peak broadening, texture or thermal motion is included.

Main lines, low angle first (10° ≤ 2θ ≤ 90°):
Position (°2θ)	d [Å]	I/Imax
24.6	3.620	100
28.6	3.126	10
40.6	2.220	67
40.8	2.210	33
47.9	1.899	17
48.2	1.886	34
59.1	1.563	11
64.7	1.440	14
73.8	1.284	11
74.2	1.278	22

Cell and atoms:
Cell lengths 4.4206, 4.4206, 6.3078 Å; angles 90.00, 90.00, 90.00 degrees
Positions (direct):
Li 0.0000 0.5000 0.2481
Li 0.5000 0.0000 0.7519
Sc 0.0000 0.0000 0.0000
Sc 0.5000 0.5000 0.5000
Al 0.0000 0.0000 0.5000
Ge 0.5000 0.5000 0.0000
Ir 0.0000 0.5000 0.7480
Ir 0.5000 0.0000 0.2520

[8]
Li2Mg2AlGePt2: theoretical powder diffractogram (Cu Kα), based on a structure optimized by DFT (GGA-PBE).
No peak broadening, texture or thermal motion is included.

Main lines, low angle first (10° ≤ 2θ ≤ 90°):
Position (°2θ)	d [Å]	I/Imax
24.7	3.598	100
28.7	3.116	21
41.0	2.203	85
48.5	1.879	50
50.8	1.799	6
59.4	1.557	10
65.3	1.430	21
74.6	1.272	29
80.1	1.199	12
88.8	1.102	6

Cell and atoms:
Cell lengths 4.4029, 4.4029, 6.2403 Å; angles 90.00, 90.00, 90.00 degrees
Positions (direct):
Li 0.0000 0.5000 0.2476
Li 0.5000 0.0000 0.7524
Mg 0.0000 0.0000 0.0000
Mg 0.5000 0.5000 0.5000
Al 0.0000 0.0000 0.5000
Ge 0.5000 0.5000 0.0000
Pt 0.0000 0.5000 0.7440
Pt 0.5000 0.0000 0.2560